Entry 1:
# Sm4InSnH
Calculated XRD peak list, Cu Kα (weighted mean of Kα1 and Kα2). Input: DFT lattice parameters and positions (PBE).
Kinematic intensities with the Lorentz-polarization factor, no thermal factor.

Most intense lines, 10° ≤ 2θ ≤ 90°, in order of rising 2θ:
d/Å  2θ/deg  I (rel.)
3.071  29.1  100
2.888  31.0  35
2.778  32.2  31
2.617  34.3  85
2.322  38.8  61
1.810  50.4  36
1.782  51.3  17
1.642  56.0  21
1.448  64.3  21
1.391  67.3  24

Crystal structure
```
Sm4InSnH
1.0
3.2856 -8.6649 0.0000
3.2856 8.6649 0.0000
0.0000 0.0000 6.5643
Sm In Sn H
8 2 2 2
direct
0.0000 0.5000 0.0000
0.0000 0.5000 0.5000
0.0709 0.9291 0.7500
0.4278 0.5722 0.7500
0.5000 0.0000 0.0000
0.5000 0.0000 0.5000
0.5722 0.4278 0.2500
0.9291 0.0709 0.2500
0.1140 0.8860 0.2500
0.8860 0.1140 0.7500
0.3872 0.6128 0.2500
0.6128 0.3872 0.7500
0.2080 0.7920 0.7500
0.7920 0.2080 0.2500
```

=====

Entry 2:
# LiAs4P4O16
Calculated XRD peak list, Cu Kα (weighted mean of Kα1 and Kα2). Input: DFT lattice parameters and positions (PBE).
Kinematic intensities with the Lorentz-polarization factor, no thermal factor.

Most intense lines, 10° ≤ 2θ ≤ 90°, in order of rising 2θ:
d/Å  2θ/deg  I (rel.)
4.779  18.6  77
3.929  22.6  79
3.839  23.2  35
3.817  23.3  90
3.492  25.5  41
3.226  27.7  70
3.128  28.5  100
2.588  34.7  32
2.557  35.1  48
2.242  40.2  40

Crystal structure
```
LiAs4P4O16
1.0
7.6456 0.0000 0.0000
0.0000 5.1149 0.0000
-0.5356 0.0000 9.5589
Li As P O
1 4 4 16
direct
0.0000 0.0000 0.0000
0.0398 0.0000 0.2846
0.1521 0.0000 0.7178
0.5394 0.5000 0.3099
0.6491 0.5000 0.7837
0.0366 0.5000 0.9280
0.1878 0.5000 0.4337
0.5322 0.0000 0.6169
0.6643 0.0000 0.1555
0.0578 0.2570 0.4164
0.0578 0.7430 0.4164
0.1412 0.2448 0.9035
0.1412 0.7552 0.9035
0.2911 0.5000 0.5686
0.2975 0.5000 0.2970
0.3961 0.0000 0.7347
0.4641 0.0000 0.4672
0.5430 0.2449 0.1728
0.5430 0.7551 0.1728
0.6572 0.2423 0.6495
0.6572 0.7577 0.6495
0.7492 0.0000 0.0189
0.8000 0.0000 0.2891
0.8846 0.5000 0.8032
0.9662 0.5000 0.0728
```

=====

Entry 3:
# LiMg2GeCl
Calculated XRD peak list, Cu Kα (weighted mean of Kα1 and Kα2). Input: DFT lattice parameters and positions (PBE).
Kinematic intensities with the Lorentz-polarization factor, no thermal factor.

Most intense lines, 10° ≤ 2θ ≤ 90°, in order of rising 2θ:
d/Å  2θ/deg  I (rel.)
4.952  17.9  100
3.502  25.4  16
2.918  30.6  41
2.641  33.9  24
2.476  36.3  40
2.330  38.6  26
2.215  40.7  23
1.806  50.5  30
1.697  54.0  19
1.459  63.8  14

Crystal structure
```
LiMg2GeCl
1.0
4.9520 0.0000 0.0000
0.0000 4.9520 0.0000
0.0000 0.0000 5.2813
Li Mg Ge Cl
1 2 1 1
direct
0.0000 0.0000 0.0000
0.0000 0.5000 0.5000
0.5000 0.0000 0.5000
0.5000 0.5000 0.0000
0.5000 0.5000 0.5000
```

=====

Entry 4:
# Al3Cd5
Calculated XRD peak list, Cu Kα (weighted mean of Kα1 and Kα2). Input: DFT lattice parameters and positions (PBE).
Kinematic intensities with the Lorentz-polarization factor, no thermal factor.

Most intense lines, 10° ≤ 2θ ≤ 90°, in order of rising 2θ:
d/Å  2θ/deg  I (rel.)
4.206  21.1  22
3.643  24.4  21
3.389  26.3  22
2.754  32.5  59
2.663  33.7  48
2.481  36.2  100
2.366  38.0  54
1.695  54.1  22
1.590  58.0  25
1.568  58.9  23

Crystal structure
```
Al3Cd5
1.0
8.4123 0.0000 0.0000
-4.2061 7.2852 0.0000
0.0000 0.0000 5.7227
Al Cd
6 10
direct
0.0000 0.4128 0.2500
0.0000 0.5872 0.7500
0.4128 0.0000 0.2500
0.4128 0.4128 0.7500
0.5872 0.0000 0.7500
0.5872 0.5872 0.2500
0.0000 0.2179 0.7500
0.0000 0.7821 0.2500
0.2179 0.0000 0.7500
0.2179 0.2179 0.2500
0.3333 0.6667 0.0000
0.3333 0.6667 0.5000
0.6667 0.3333 0.0000
0.6667 0.3333 0.5000
0.7821 0.0000 0.2500
0.7821 0.7821 0.7500
```

=====

Entry 5:
# Zn5Pd2Au5
Calculated XRD peak list, Cu Kα (weighted mean of Kα1 and Kα2). Input: DFT lattice parameters and positions (PBE).
Kinematic intensities with the Lorentz-polarization factor, no thermal factor.

Most intense lines, 10° ≤ 2θ ≤ 90°, in order of rising 2θ:
d/Å  2θ/deg  I (rel.)
3.746  23.8  23
3.652  24.4  17
2.352  38.3  100
2.281  39.5  89
2.107  42.9  36
1.995  45.5  33
1.927  47.2  23
1.449  64.3  22
1.386  67.6  16
1.210  79.2  13

Crystal structure
```
Zn5Pd2Au5
1.0
6.3277 -1.9949 0.0000
6.3277 1.9949 0.0000
-4.5770 0.0000 7.7066
Zn Pd Au
5 2 5
direct
0.0000 0.0000 0.0000
0.0772 0.0772 0.7436
0.2434 0.2434 0.2737
0.7566 0.7566 0.7263
0.9228 0.9228 0.2564
0.1663 0.1663 0.5124
0.8337 0.8337 0.4876
0.3169 0.3169 0.9661
0.4287 0.4287 0.7582
0.5000 0.5000 0.5000
0.5713 0.5713 0.2418
0.6831 0.6831 0.0339
```

=====

Entry 6:
# Ce2Cd3Au6
Calculated XRD peak list, Cu Kα (weighted mean of Kα1 and Kα2). Input: DFT lattice parameters and positions (PBE).
Kinematic intensities with the Lorentz-polarization factor, no thermal factor.

Most intense lines, 10° ≤ 2θ ≤ 90°, in order of rising 2θ:
d/Å  2θ/deg  I (rel.)
3.997  22.2  48
2.810  31.8  89
2.635  34.0  67
2.523  35.6  100
2.504  35.9  66
2.487  36.1  23
2.200  41.0  47
1.998  45.4  40
1.989  45.6  22
1.592  57.9  29

Crystal structure
```
Ce2Cd3Au6
1.0
4.9740 -6.5090 0.0000
4.9740 6.5090 0.0000
0.0000 0.0000 3.9970
Ce Cd Au
2 3 6
direct
0.1952 0.1952 0.0000
0.8048 0.8048 0.0000
0.2760 0.7240 0.0000
0.5000 0.5000 0.5000
0.7240 0.2760 0.0000
0.1140 0.8860 0.5000
0.1481 0.4568 0.5000
0.4568 0.1481 0.5000
0.5432 0.8519 0.5000
0.8519 0.5432 0.5000
0.8860 0.1140 0.5000
```

=====

Entry 7:
# DySn3Pd
Calculated XRD peak list, Cu Kα (weighted mean of Kα1 and Kα2). Input: DFT lattice parameters and positions (PBE).
Kinematic intensities with the Lorentz-polarization factor, no thermal factor.

Most intense lines, 10° ≤ 2θ ≤ 90°, in order of rising 2θ:
d/Å  2θ/deg  I (rel.)
8.279  10.7  17
3.076  29.0  36
2.792  32.1  43
2.760  32.4  19
2.556  35.1  100
2.547  35.2  23
2.305  39.1  37
2.254  40.0  22
1.709  53.6  14
1.374  68.2  15

Crystal structure
```
DySn3Pd
1.0
4.6099 0.0000 0.0000
0.0000 6.6149 0.0000
0.0000 0.0000 8.2794
Dy Sn Pd
2 6 2
direct
0.2500 0.2500 0.2343
0.7500 0.7500 0.7657
0.2500 0.0215 0.6421
0.2500 0.4785 0.6421
0.2500 0.7500 0.0369
0.7500 0.2500 0.9631
0.7500 0.5215 0.3579
0.7500 0.9785 0.3579
0.2500 0.7500 0.3664
0.7500 0.2500 0.6336
```

=====

Entry 8:
# SrPrMgBiO6
Calculated XRD peak list, Cu Kα (weighted mean of Kα1 and Kα2). Input: DFT lattice parameters and positions (PBE).
Kinematic intensities with the Lorentz-polarization factor, no thermal factor.

Most intense lines, 10° ≤ 2θ ≤ 90°, in order of rising 2θ:
d/Å  2θ/deg  I (rel.)
4.728  18.8  41
2.896  30.9  100
2.469  36.4  25
2.047  44.2  31
1.879  48.4  12
1.672  54.9  41
1.576  58.6  9
1.448  64.3  20
1.295  73.1  18
1.094  89.6  23

Crystal structure
```
SrPrMgBiO6
1.0
0.0000 4.0950 4.0950
4.0950 0.0000 4.0950
4.0950 4.0950 0.0000
Sr Pr Mg Bi O
1 1 1 1 6
direct
0.0000 0.0000 0.0000
0.5000 0.5000 0.5000
0.7500 0.7500 0.7500
0.2500 0.2500 0.2500
0.5039 0.5039 0.9961
0.5039 0.9961 0.5039
0.5039 0.9961 0.9961
0.9961 0.5039 0.5039
0.9961 0.5039 0.9961
0.9961 0.9961 0.5039
```